# 1
For K2Cd5In3, a crystal structure in Alexandria, relaxed with GGA-PBE gives the calculated X-ray diffraction stick pattern in this record (a wavelength of 1.5418 Å).
Neutral-atom scattering factors, no anomalous dispersion.

Cell and atoms:
```
K2Cd5In3
1.0
4.853 0.000 0.000
0.000 4.853 0.000
0.000 0.000 12.708
K Cd In
2 5 3
direct
0.000 0.500 0.249 K
0.500 0.000 0.751 K
0.000 0.000 0.000 Cd
0.000 0.000 0.500 Cd
0.000 0.500 0.865 Cd
0.500 0.000 0.135 Cd
0.500 0.500 0.000 Cd
0.000 0.500 0.638 In
0.500 0.000 0.362 In
0.500 0.500 0.500 In
```

Main lines, in order of rising 2θ (2θ from 10° to 90°):
- 2θ = 13.9°, intensity 38
- 2θ = 19.6°, intensity 52
- 2θ = 28.0°, intensity 34
- 2θ = 29.6°, intensity 100
- 2θ = 37.0°, intensity 74
- 2θ = 38.6°, intensity 88

# 2
For K2RbF6, a crystal structure in Alexandria, relaxed with GGA-PBE gives the calculated X-ray diffraction stick pattern in this record (a wavelength of 1.5418 Å).
Neutral-atom scattering factors, no anomalous dispersion.

Cell and atoms:
```
K2RbF6
1.0
5.679 -3.616 0.000
5.679 3.616 0.000
-0.676 0.000 4.141
K Rb F
2 1 6
direct
0.171 0.171 0.296 K
0.829 0.829 0.704 K
0.500 0.500 0.000 Rb
0.083 0.601 0.210 F
0.233 0.767 0.500 F
0.399 0.917 0.790 F
0.601 0.083 0.210 F
0.767 0.233 0.500 F
0.917 0.399 0.790 F
```

Main lines, in order of rising 2θ (2θ from 10° to 90°):
- 2θ = 26.9°, intensity 74
- 2θ = 27.1°, intensity 71
- 2θ = 35.1°, intensity 100
- 2θ = 48.7°, intensity 17
- 2θ = 49.0°, intensity 33
- 2θ = 50.4°, intensity 30

# 3
For CeTm4Te5, a crystal structure in Alexandria, relaxed with GGA-PBE gives the calculated X-ray diffraction stick pattern in this record (a wavelength of 1.5418 Å).
Neutral-atom scattering factors, no anomalous dispersion.

Cell and atoms:
```
CeTm4Te5
1.0
-2.152 3.068 10.933
2.152 -3.068 10.933
2.152 3.068 -10.933
Ce Tm Te
1 4 5
direct
0.000 0.000 0.000 Ce
0.203 0.203 0.000 Tm
0.403 0.403 0.000 Tm
0.597 0.597 0.000 Tm
0.797 0.797 0.000 Tm
0.106 0.606 0.500 Te
0.302 0.802 0.500 Te
0.500 0.000 0.500 Te
0.698 0.198 0.500 Te
0.894 0.394 0.500 Te
```

Main lines, in order of rising 2θ (2θ from 10° to 90°):
- 2θ = 29.1°, intensity 100
- 2θ = 41.3°, intensity 12
- 2θ = 41.6°, intensity 50
- 2θ = 51.3°, intensity 13
- 2θ = 51.9°, intensity 13
- 2θ = 68.4°, intensity 23

# 4
For Rb3AgHg2, a crystal structure in Alexandria, relaxed with GGA-PBE gives the calculated X-ray diffraction stick pattern in this record (a wavelength of 1.5418 Å).
Neutral-atom scattering factors, no anomalous dispersion.

Cell and atoms:
```
Rb3AgHg2
1.0
14.462 0.000 0.000
0.000 5.051 0.000
0.000 0.000 14.569
Rb Ag Hg
12 4 8
direct
0.057 0.250 0.124 Rb
0.117 0.750 0.558 Rb
0.206 0.250 0.793 Rb
0.294 0.750 0.293 Rb
0.383 0.250 0.058 Rb
0.443 0.750 0.624 Rb
0.557 0.250 0.376 Rb
0.617 0.750 0.942 Rb
0.706 0.250 0.707 Rb
0.794 0.750 0.207 Rb
0.883 0.250 0.442 Rb
0.943 0.750 0.876 Rb
0.131 0.250 0.372 Ag
0.369 0.750 0.872 Ag
0.631 0.250 0.128 Ag
0.869 0.750 0.628 Ag
0.037 0.750 0.317 Hg
0.197 0.750 0.984 Hg
0.303 0.250 0.484 Hg
0.463 0.250 0.817 Hg
0.537 0.750 0.183 Hg
0.697 0.750 0.516 Hg
0.803 0.250 0.016 Hg
0.963 0.250 0.683 Hg
```

Main lines, in order of rising 2θ (2θ from 10° to 90°):
- 2θ = 13.6°, intensity 53
- 2θ = 25.4°, intensity 100
- 2θ = 26.2°, intensity 74
- 2θ = 28.4°, intensity 49
- 2θ = 32.9°, intensity 54
- 2θ = 35.6°, intensity 74

# 5
For Pa2Co5Ge3H2, a crystal structure in Alexandria, relaxed with GGA-PBE gives the calculated X-ray diffraction stick pattern in this record (a wavelength of 1.5418 Å).
Neutral-atom scattering factors, no anomalous dispersion.

Cell and atoms:
```
Pa2Co5Ge3H2
1.0
-1.957 1.957 10.230
1.957 -1.957 10.230
1.957 1.957 -10.230
Pa Co Ge H
2 5 3 2
direct
0.198 0.198 0.000 Pa
0.802 0.802 0.000 Pa
0.000 0.000 0.000 Co
0.079 0.579 0.500 Co
0.421 0.921 0.500 Co
0.579 0.079 0.500 Co
0.921 0.421 0.500 Co
0.348 0.348 0.000 Ge
0.500 0.500 0.000 Ge
0.652 0.652 0.000 Ge
0.080 0.080 0.000 H
0.920 0.920 0.000 H
```

Main lines, in order of rising 2θ (2θ from 10° to 90°):
- 2θ = 31.6°, intensity 83
- 2θ = 32.4°, intensity 53
- 2θ = 33.5°, intensity 65
- 2θ = 38.4°, intensity 66
- 2θ = 42.1°, intensity 100
- 2θ = 46.4°, intensity 79

Repeat the third record exactly.
For CeTm4Te5, a crystal structure in Alexandria, relaxed with GGA-PBE gives the calculated X-ray diffraction stick pattern in this record (a wavelength of 1.5418 Å).
Neutral-atom scattering factors, no anomalous dispersion.

Cell and atoms:
```
CeTm4Te5
1.0
-2.152 3.068 10.933
2.152 -3.068 10.933
2.152 3.068 -10.933
Ce Tm Te
1 4 5
direct
0.000 0.000 0.000 Ce
0.203 0.203 0.000 Tm
0.403 0.403 0.000 Tm
0.597 0.597 0.000 Tm
0.797 0.797 0.000 Tm
0.106 0.606 0.500 Te
0.302 0.802 0.500 Te
0.500 0.000 0.500 Te
0.698 0.198 0.500 Te
0.894 0.394 0.500 Te
```

Main lines, in order of rising 2θ (2θ from 10° to 90°):
- 2θ = 29.1°, intensity 100
- 2θ = 41.3°, intensity 12
- 2θ = 41.6°, intensity 50
- 2θ = 51.3°, intensity 13
- 2θ = 51.9°, intensity 13
- 2θ = 68.4°, intensity 23

Question: Number 3 is which compound?
Answer: CeTm4Te5